# Mg14MnCoO16
Simulated X-ray powder pattern, λ = 1.5418 Å (Cu Kα). Input: a crystal structure in Alexandria, relaxed with PBE+U.
Intensities are scaled so that the largest is 100.

Most intense lines, 10 to 90 degrees two-theta, low angle first:
Position (°2θ)	I/Imax	index
14.62	10	1 1 0
20.74	6	2 0 0
25.59	6	1 1 1
36.42	26	2 2 1
42.19	100	4 0 0
42.51	49	0 0 2
61.20	28	4 4 0
61.44	56	4 0 2
73.35	10	6 2 1
77.36	25	4 4 2

```
data_Mg14MnCoO16
_chemical_formula_sum 'Mg14 Mn1 Co1 O16'
_cell_length_a 8.567
_cell_length_b 8.567
_cell_length_c 4.253
_cell_angle_alpha 90.00
_cell_angle_beta 90.00
_cell_angle_gamma 90.00
_symmetry_space_group_name_H-M 'P 4/m m m'
_symmetry_Int_Tables_number 123
_symmetry_space_group_name_Hall '-P 4 2'
loop_
_atom_site_label
_atom_site_fract_x
_atom_site_fract_y
_atom_site_fract_z
Mg1 0.000 0.250 0.000
Mg2 0.000 0.500 0.500
Mg3 0.247 0.500 0.000
Mg4 0.248 0.248 0.500
Mn1 0.500 0.500 0.500
Co1 0.000 0.000 0.500
O1 0.000 0.000 0.000
O2 0.000 0.254 0.500
O3 0.000 0.500 0.000
O4 0.244 0.500 0.500
O5 0.250 0.250 0.000
O6 0.500 0.500 0.000
```

---

# MgMn4Co2O12
Simulated X-ray powder pattern, λ = 1.5418 Å (Cu Kα). Input: a crystal structure in Alexandria, relaxed with PBE+U.
Intensities are scaled so that the largest is 100.

Most intense lines, 10 to 90 degrees two-theta, low angle first:
Position (°2θ)	I/Imax	index
17.47	100	0 0 2
36.39	11	3 1 0
38.55	18	3 1 -2
40.39	15	0 2 2
42.57	7	3 1 -3
42.67	13	3 1 2
48.12	10	3 1 -4
51.44	11	0 2 4
55.02	7	3 1 4
65.13	9	3 3 0

```
data_MgMn4Co2O12
_chemical_formula_sum 'Mg2 Mn8 Co4 O24'
_cell_length_a 8.618
_cell_length_b 4.973
_cell_length_c 10.259
_cell_angle_alpha 90.00
_cell_angle_beta 98.23
_cell_angle_gamma 90.00
_symmetry_space_group_name_H-M 'C 1 2 1'
_symmetry_Int_Tables_number 5
_symmetry_space_group_name_Hall 'C 2y'
loop_
_atom_site_label
_atom_site_fract_x
_atom_site_fract_y
_atom_site_fract_z
Mg1 0.000 0.000 0.000
Mn1 0.029 0.655 0.252
Mn2 0.139 0.158 0.749
Co1 0.196 0.159 0.248
O1 0.011 0.313 0.147
O2 0.046 0.992 0.344
O3 0.123 0.492 0.656
O4 0.148 0.832 0.854
O5 0.172 0.830 0.147
O6 0.212 0.489 0.344
```